# 1
# Nb3AlSnMo3
Simulated X-ray powder pattern, copper Kα. Input: DFT lattice parameters and positions (PBE).

Crystal structure
Unit cell a=5.158 b=5.158 c=5.158 alpha=90.02 beta=90.02 gamma=90.02
Element x y z (fractional)
1 Nb 0.003 0.747 0.251
2 Nb 0.251 0.003 0.747
3 Nb 0.747 0.251 0.003
4 Al 0.249 0.249 0.249
5 Sn 0.747 0.747 0.747
6 Mo 0.248 0.494 0.748
7 Mo 0.494 0.748 0.248
8 Mo 0.748 0.248 0.494

Main lines, in order of rising 2θ (2θ from 10° to 90°):
d_spacing	I/Imax
5.158	93
2.579	258
2.307	1000
2.106	567
1.431	218
1.379	289
1.290	128
1.126	200

# 2
# K3BiTe3
Simulated X-ray powder pattern, copper Kα. Input: DFT lattice parameters and positions (PBE).

Crystal structure
Unit cell a=10.539 b=10.539 c=10.539 alpha=90.00 beta=90.00 gamma=90.00
Element x y z (fractional)
1 K 0.075 0.075 0.075
2 K 0.174 0.326 0.674
3 K 0.183 0.683 0.817
4 K 0.317 0.317 0.317
5 K 0.326 0.674 0.174
6 K 0.425 0.925 0.575
7 K 0.575 0.425 0.925
8 K 0.674 0.174 0.326
9 K 0.683 0.817 0.183
10 K 0.817 0.183 0.683
11 K 0.826 0.826 0.826
12 K 0.925 0.575 0.425
13 Bi 0.035 0.965 0.465
14 Bi 0.465 0.035 0.965
15 Bi 0.535 0.535 0.535
16 Bi 0.965 0.465 0.035
17 Te 0.000 0.227 0.383
18 Te 0.000 0.727 0.117
19 Te 0.117 0.000 0.727
20 Te 0.227 0.383 0.000
21 Te 0.273 0.617 0.500
22 Te 0.383 0.000 0.227
23 Te 0.500 0.273 0.617
24 Te 0.500 0.773 0.883
25 Te 0.617 0.500 0.273
26 Te 0.727 0.117 0.000
27 Te 0.773 0.883 0.500
28 Te 0.883 0.500 0.773

Main lines, in order of rising 2θ (2θ from 10° to 90°):
d_spacing	I/Imax
6.085	544
5.269	229
4.302	279
3.333	1000
2.817	494
2.357	275
2.067	330
1.710	266

# 3
# VS2
Simulated X-ray powder pattern, copper Kα. Input: DFT lattice parameters and positions (PBE).

Crystal structure
Unit cell a=6.689 b=6.689 c=6.689 alpha=27.62 beta=27.62 gamma=27.62
Element x y z (fractional)
1 V 0.000 0.000 0.000
2 S 0.257 0.257 0.257
3 S 0.743 0.743 0.743

Main lines, in order of rising 2θ (2θ from 10° to 90°):
d_spacing	I/Imax
6.430	1000
2.738	209
2.399	829
1.952	162
1.818	308
1.597	211
1.329	108
1.133	112

# 4
# LiTb3
Simulated X-ray powder pattern, copper Kα. Input: DFT lattice parameters and positions (PBE).

Crystal structure
Unit cell a=5.951 b=5.951 c=5.951 alpha=131.40 beta=131.40 gamma=71.18
Element x y z (fractional)
1 Li 0.000 0.000 0.000
2 Tb 0.250 0.750 0.500
3 Tb 0.500 0.500 0.000
4 Tb 0.750 0.250 0.500

Main lines, in order of rising 2θ (2θ from 10° to 90°):
d_spacing	I/Imax
4.371	307
2.817	1000
2.449	340
2.420	164
1.721	235
1.475	282
1.462	137
1.408	121

# 5
# Rb2TmCl5
Simulated X-ray powder pattern, copper Kα. Input: DFT lattice parameters and positions (PBE).

Crystal structure
Unit cell a=9.509 b=7.383 c=14.925 alpha=90.00 beta=90.00 gamma=90.00
Element x y z (fractional)
1 Rb 0.024 0.250 0.212
2 Rb 0.164 0.750 0.417
3 Rb 0.336 0.250 0.917
4 Rb 0.476 0.750 0.712
5 Rb 0.524 0.250 0.288
6 Rb 0.664 0.750 0.083
7 Rb 0.836 0.250 0.583
8 Rb 0.976 0.750 0.788
9 Tm 0.179 0.750 0.065
10 Tm 0.321 0.250 0.565
11 Tm 0.679 0.750 0.435
12 Tm 0.821 0.250 0.935
13 Cl 0.000 0.000 0.000
14 Cl 0.000 0.500 0.000
15 Cl 0.020 0.750 0.204
16 Cl 0.165 0.506 0.619
17 Cl 0.165 0.994 0.619
18 Cl 0.212 0.250 0.404
19 Cl 0.288 0.750 0.904
20 Cl 0.335 0.006 0.119
21 Cl 0.335 0.494 0.119
22 Cl 0.480 0.250 0.704
23 Cl 0.500 0.000 0.500
24 Cl 0.500 0.500 0.500
25 Cl 0.520 0.750 0.296
26 Cl 0.665 0.506 0.881
27 Cl 0.665 0.994 0.881
28 Cl 0.712 0.250 0.096
29 Cl 0.788 0.750 0.596
30 Cl 0.835 0.006 0.381
31 Cl 0.835 0.494 0.381
32 Cl 0.980 0.250 0.796

Main lines, in order of rising 2θ (2θ from 10° to 90°):
d_spacing	I/Imax
5.432	636
4.126	1000
4.004	939
3.691	578
2.861	457
2.716	727
2.516	521
1.855	428

# 6
# CeAu6
Simulated X-ray powder pattern, copper Kα. Input: DFT lattice parameters and positions (PBE).

Crystal structure
Unit cell a=5.552 b=5.552 c=9.314 alpha=97.65 beta=97.65 gamma=89.66
Element x y z (fractional)
1 Ce 0.185 0.815 0.750
2 Ce 0.815 0.185 0.250
3 Au 0.042 0.665 0.128
4 Au 0.118 0.278 0.581
5 Au 0.278 0.118 0.081
6 Au 0.335 0.958 0.372
7 Au 0.344 0.458 0.364
8 Au 0.458 0.344 0.864
9 Au 0.542 0.656 0.136
10 Au 0.656 0.542 0.636
11 Au 0.665 0.042 0.628
12 Au 0.722 0.882 0.919
13 Au 0.882 0.722 0.419
14 Au 0.958 0.335 0.872

Main lines, in order of rising 2θ (2θ from 10° to 90°):
d_spacing	I/Imax
2.528	589
2.510	795
2.475	705
2.352	1000
2.340	947
2.230	780
2.194	583
1.388	548